For CdH2Pd3, a structure optimized by DFT (GGA-PBE) gives the simulated PXRD pattern in this record (Cu Kα X-rays).
Neutral-atom scattering factors, no anomalous dispersion.

Principal peaks in the range 2θ from 5° to 70°, low angle first:
- 2.437 Å, 36.88 deg, rel. 60, (1 1 0)
- 2.276 Å, 39.60 deg, rel. 100, (1 0 2)
- 1.724 Å, 53.14 deg, rel. 21, (2 0 0)
- 1.515 Å, 61.18 deg, rel. 7, (0 0 4)
- 1.374 Å, 68.26 deg, rel. 38, (2 1 2)

Structure:
a = 3.447 Å, b = 3.447 Å, c = 6.060 Å
α = 90.00°, β = 90.00°, γ = 90.00°
Space group P-4m2 (No. 115)
Asymmetric unit:
Cd 0.000 0.000 0.000 x1
H 0.000 0.500 0.615 x2
Pd 0.000 0.000 0.500 x1
Pd 0.500 0.500 0.247 x2